Starting from a structure optimized by DFT (GGA+U), the powder X-ray diffraction pattern of Li4Mn5Fe2O12 was calculated for λ = 1.5418 Å (Cu Kα).
Peak positions follow from Bragg's law for the DFT cell and can differ from measured ones.

Atomic structure:
abc: 5.151 9.229 10.049
angles: 90.00 102.75 90.00
Sites, in units of the cell vectors:
Li: 0.002 0.000 0.255
Li: 0.009 0.152 0.732
Li: 0.266 0.147 0.486
Li: 0.498 0.984 0.737
Li: 0.502 0.484 0.263
Li: 0.734 0.647 0.514
Li: 0.991 0.652 0.268
Li: 0.998 0.500 0.745
Mn: 0.014 0.318 0.257
Mn: 0.240 0.984 0.991
Mn: 0.245 0.494 0.512
Mn: 0.261 0.648 0.012
Mn: 0.499 0.815 0.259
Mn: 0.501 0.315 0.741
Mn: 0.739 0.148 0.988
Mn: 0.755 0.994 0.488
Mn: 0.760 0.484 0.009
Mn: 0.986 0.818 0.743
Fe: 0.257 0.313 0.006
Fe: 0.263 0.815 0.515
Fe: 0.737 0.315 0.485
Fe: 0.743 0.813 0.994
O: 0.100 0.673 0.627
O: 0.103 0.137 0.096
O: 0.110 0.472 0.134
O: 0.118 0.983 0.606
O: 0.142 0.340 0.629
O: 0.151 0.803 0.127
O: 0.339 0.832 0.878
O: 0.351 0.651 0.400
O: 0.370 0.330 0.376
O: 0.385 0.490 0.909
O: 0.386 0.958 0.378
O: 0.391 0.164 0.861
O: 0.609 0.664 0.139
O: 0.614 0.458 0.622
O: 0.615 0.990 0.091
O: 0.630 0.830 0.624
O: 0.649 0.151 0.600
O: 0.661 0.332 0.122
O: 0.849 0.303 0.873
O: 0.858 0.840 0.371
O: 0.882 0.483 0.394
O: 0.890 0.972 0.866
O: 0.897 0.637 0.904
O: 0.900 0.173 0.373

Main lines, low angle first (5° ≤ 2θ ≤ 70°):
d/Å  2θ/deg  intensity
4.901  18.1  41
4.615  19.2  23
4.352  20.4  16
3.760  23.7  32
2.909  30.7  15
2.465  36.4  32
2.172  41.6  100
2.059  44.0  41
1.538  60.2  13
1.533  60.4  12
1.498  62.0  24
1.490  62.3  21